[1]
Structure and simulated XRD peak list of KSnP (a crystal structure in Alexandria, relaxed with PBE; Cu Kα).
Intensities are scaled so that the largest is 100.

Crystal structure
```
3
Lattice="2.010 1.161 6.468 -2.010 1.161 6.468 0.000 -2.321 6.468" Properties=species:S:1:pos:R:3 pbc="T T T"
K 0.000 0.000 0.000
Sn 0.000 0.000 9.401
P 0.000 0.000 4.218
```

Largest 10 diffraction maxima, by intensity, 2θ from 10° to 80°:
Position (°2θ)	intensity
31.63	100
27.21	73
13.69	58
45.10	39
26.00	33
45.58	30
27.58	25
53.68	24
56.13	19
47.35	17



[2]
Structure and simulated XRD peak list of Pm3Tm2Ge3 (a crystal structure in Alexandria, relaxed with PBE; Cu Kα).
Intensities are scaled so that the largest is 100.

Crystal structure
```
8
Lattice="-2.014 2.454 10.364 2.014 -2.454 10.364 2.014 2.454 -10.364" Properties=species:S:1:pos:R:3 pbc="T T T"
Pm 0.000 0.000 0.000
Pm 2.014 0.000 7.973
Pm 0.000 2.454 2.391
Tm 0.000 0.000 4.875
Tm 0.000 0.000 15.852
Ge 2.014 0.000 2.792
Ge 0.000 0.000 10.364
Ge 0.000 2.454 7.572
```

Largest 10 diffraction maxima, by intensity, 2θ from 10° to 80°:
Position (°2θ)	intensity
33.58	100
36.62	21
34.62	18
64.01	15
28.18	14
51.28	12
45.02	12
59.37	10
75.70	9
70.58	9



[3]
Structure and simulated XRD peak list of Nd5Sm2Pb4 (a crystal structure in Alexandria, relaxed with PBE; Cu Kα).
Intensities are scaled so that the largest is 100.

Crystal structure
```
11
Lattice="11.907 -1.803 0.000 11.907 1.803 0.000 -0.428 0.000 8.492" Properties=species:S:1:pos:R:3 pbc="T T T"
Nd 0.000 0.000 0.000
Nd 7.444 0.000 4.373
Nd 8.473 0.000 8.028
Nd 14.915 0.000 0.465
Nd 15.943 0.000 4.119
Sm 5.105 0.000 7.022
Sm 18.282 0.000 1.470
Pb 1.865 0.000 6.081
Pb 10.700 0.000 5.508
Pb 12.687 0.000 2.984
Pb 21.522 0.000 2.411
```

Largest 10 diffraction maxima, by intensity, 2θ from 10° to 80°:
Position (°2θ)	intensity
31.37	100
33.22	95
31.64	91
32.13	86
34.18	86
27.20	77
60.92	53
51.77	41
60.80	33
29.38	29



[4]
Structure and simulated XRD peak list of LiCa3 (a crystal structure in Alexandria, relaxed with PBE; Cu Kα).
Intensities are scaled so that the largest is 100.

Crystal structure
```
4
Lattice="5.308 0.000 0.000 0.000 5.308 0.000 0.000 0.000 5.308" Properties=species:S:1:pos:R:3 pbc="T T T"
Li 0.000 0.000 0.000
Ca 0.000 2.654 2.654
Ca 2.654 0.000 2.654
Ca 2.654 2.654 0.000
```

Largest 10 diffraction maxima, by intensity, 2θ from 10° to 80°:
Position (°2θ)	intensity
29.14	100
33.77	49
57.59	37
48.51	32
16.70	24
23.70	21
78.55	14
37.90	11
60.41	11
41.68	8



[5]
Structure and simulated XRD peak list of CrCuRe2 (a crystal structure in Alexandria, relaxed with PBE; Cu Kα).
Intensities are scaled so that the largest is 100.

Crystal structure
```
4
Lattice="0.000 3.034 3.034 3.034 0.000 3.034 3.034 3.034 0.000" Properties=species:S:1:pos:R:3 pbc="T T T"
Cr 0.000 0.000 0.000
Cu 1.517 1.517 1.517
Re 3.034 3.034 3.034
Re 4.551 4.551 4.551
```

Largest 6 diffraction maxima, by intensity, 2θ from 10° to 80°:
Position (°2θ)	intensity
42.12	100
76.99	33
25.43	31
61.09	16
49.84	16
67.26	7



[6]
Structure and simulated XRD peak list of PmPr3Ho8 (a crystal structure in Alexandria, relaxed with PBE; Cu Kα).
Intensities are scaled so that the largest is 100.

Crystal structure
```
12
Lattice="-4.376 4.376 5.672 4.376 -4.376 5.672 4.376 4.376 -5.672" Properties=species:S:1:pos:R:3 pbc="T T T"
Pm 0.000 0.000 0.000
Pr 4.376 0.000 2.836
Pr 0.000 0.000 5.672
Pr 0.000 4.376 2.836
Ho 1.097 -1.097 2.800
Ho 2.219 -2.219 5.588
Ho 2.156 2.156 0.084
Ho -1.097 1.097 2.800
Ho 3.278 3.278 2.872
Ho -2.219 2.219 5.588
Ho 2.219 2.219 5.755
Ho 1.097 1.097 8.543
```

Largest 10 diffraction maxima, by intensity, 2θ from 10° to 80°:
Position (°2θ)	intensity
36.11	100
28.86	83
31.55	76
24.05	74
44.37	73
32.96	67
25.72	61
43.28	55
69.16	39
14.31	31



[7]
Structure and simulated XRD peak list of Ac2Pm4Y7 (a crystal structure in Alexandria, relaxed with PBE; Cu Kα).
Intensities are scaled so that the largest is 100.

Crystal structure
```
13
Lattice="6.253 0.000 0.000 -3.126 5.415 0.000 0.000 0.000 13.592" Properties=species:S:1:pos:R:3 pbc="T T T"
Ac 0.000 3.610 0.000
Ac 3.126 1.805 0.000
Pm 0.000 0.000 5.369
Pm 0.000 0.000 8.224
Pm 0.000 3.610 6.796
Pm 3.126 1.805 6.796
Y 0.000 0.000 0.000
Y -1.102 1.909 2.965
Y -2.024 3.506 10.627
Y 2.205 0.000 2.965
Y 1.102 1.909 10.627
Y 4.048 0.000 10.627
Y 2.024 3.506 2.965
```

Largest 10 diffraction maxima, by intensity, 2θ from 10° to 80°:
Position (°2θ)	intensity
31.50	100
28.55	34
50.57	26
31.07	24
34.87	23
29.31	19
26.23	18
60.80	15
49.70	15
17.63	14



[8]
Structure and simulated XRD peak list of TbPr12Nd5 (a crystal structure in Alexandria, relaxed with PBE; Cu Kα).
Intensities are scaled so that the largest is 100.

Crystal structure
```
18
Lattice="7.838 -7.845 0.000 7.838 7.845 0.000 0.000 0.000 5.232" Properties=species:S:1:pos:R:3 pbc="T T T"
Tb 0.000 0.000 0.000
Pr 2.605 2.598 0.000
Pr 7.838 5.256 2.616
Pr 5.224 2.611 2.616
Pr 2.605 -2.598 0.000
Pr 7.838 2.615 0.000
Pr 5.224 -2.611 2.616
Pr 10.452 2.611 2.616
Pr 7.838 -2.615 0.000
Pr 13.071 2.598 0.000
Pr 10.452 -2.611 2.616
Pr 7.838 -5.256 2.616
Pr 13.071 -2.598 0.000
Nd 2.600 0.000 2.616
Nd 5.225 0.000 0.000
Nd 7.838 0.000 2.616
Nd 10.451 0.000 0.000
Nd 13.076 0.000 2.616
```

Largest 8 diffraction maxima, by intensity, 2θ from 10° to 80°:
Position (°2θ)	intensity
29.59	100
34.30	51
58.54	43
49.29	36
79.97	18
61.42	13
72.24	4
72.33	2



[9]
Structure and simulated XRD peak list of Pm4CdPd2 (a crystal structure in Alexandria, relaxed with PBE; Cu Kα).
Intensities are scaled so that the largest is 100.

Crystal structure
```
14
Lattice="4.396 -7.804 0.000 4.396 7.804 0.000 -4.293 0.000 5.587" Properties=species:S:1:pos:R:3 pbc="T T T"
Pm 2.249 7.390 2.794
Pm 2.386 3.806 1.881
Pm 1.430 0.568 3.496
Pm 3.577 -0.568 0.702
Pm 5.832 2.737 0.845
Pm 0.239 -3.806 4.674
Pm 3.686 -2.737 3.639
Pm 4.396 -7.390 0.000
Cd -1.392 2.090 4.590
Cd 0.755 -2.090 1.796
Pd 1.980 5.210 4.717
Pd 4.182 1.468 2.941
Pd 6.328 -1.468 0.148
Pd 4.127 -5.210 1.923
```

Largest 10 diffraction maxima, by intensity, 2θ from 10° to 80°:
Position (°2θ)	intensity
34.50	100
31.38	87
31.50	78
31.95	65
32.24	58
31.09	54
40.27	49
42.63	46
34.09	45
27.89	44



[10]
Structure and simulated XRD peak list of NbV2HPt (a crystal structure in Alexandria, relaxed with PBE; Cu Kα).
Intensities are scaled so that the largest is 100.

Crystal structure
```
5
Lattice="3.906 0.000 0.000 0.000 3.906 0.000 0.000 0.000 4.114" Properties=species:S:1:pos:R:3 pbc="T T T"
Nb 0.000 0.000 0.000
V 0.000 1.953 2.057
V 1.953 0.000 2.057
H 0.000 0.000 2.057
Pt 1.953 1.953 0.000
```

Largest 10 diffraction maxima, by intensity, 2θ from 10° to 80°:
Position (°2θ)	intensity
39.29	100
46.50	31
21.60	26
65.95	21
32.42	20
44.02	18
77.75	13
22.77	11
31.58	11
51.82	11



[11]
Structure and simulated XRD peak list of TiICl (a crystal structure in Alexandria, relaxed with PBE; Cu Kα).
Intensities are scaled so that the largest is 100.

Crystal structure
```
6
Lattice="6.136 0.000 0.000 0.000 3.531 0.000 -1.859 0.000 7.761" Properties=species:S:1:pos:R:3 pbc="T T T"
Ti 1.219 0.883 0.028
Ti 3.057 2.648 7.733
I 0.546 2.648 2.078
I 3.730 0.883 5.683
Cl 0.675 2.648 6.503
Cl 3.601 0.883 1.259
```

Largest 10 diffraction maxima, by intensity, 2θ from 10° to 80°:
Position (°2θ)	intensity
35.29	100
11.40	86
30.29	79
29.42	76
16.50	74
39.79	60
34.64	57
43.34	56
27.76	55
20.79	54